The following is a simulated powder diffraction line list of Rb2MgV2Cu4S8. It was derived from a PBE-relaxed structure, using λ = 1.5418 Å (Cu Kα).
Intensities are scaled so that the largest is 100.

Top 8 peaks for 2θ from 10° to 80°, sorted by position:
2θ 14.56, I 60, (0 1 -1)
2θ 15.04, I 46, (0 1 1)
2θ 21.78, I 60, (0 1 -2)
2θ 24.49, I 39, (0 2 -1)
2θ 28.30, I 75, (1 0 2)
2θ 28.54, I 100, (1 2 -1)
2θ 29.11, I 55, (1 0 -3)
2θ 48.52, I 61, (0 0 5)

Crystal structure
```
Rb2MgV2Cu4S8
1.0
5.561 0.000 0.000
-0.079 7.776 0.000
-2.496 -0.313 9.380
Rb Mg V Cu S
2 1 2 4 8
direct
0.000 0.000 0.000
0.424 0.478 0.789
0.094 0.798 0.518
0.326 0.525 0.168
0.558 0.028 0.576
0.076 0.133 0.581
0.455 0.300 0.384
0.460 0.774 0.372
0.828 0.522 0.174
0.007 0.518 0.985
0.183 0.532 0.368
0.219 0.036 0.377
0.346 0.978 0.745
0.555 0.296 0.169
0.566 0.754 0.163
0.727 0.757 0.595
0.757 0.288 0.594
```